Entry 1:
Diffraction record for VS2. The XRD peak list is calculated, not measured: it uses DFT lattice parameters and positions (PBE) and a wavelength of 1.5418 Å.
Peak positions follow from Bragg's law for the DFT cell and can differ from measured ones.

Principal peaks in the range 10 to 80 degrees two-theta, sorted by position:
2theta, Rel. int.
15.52, 823
33.39, 235
34.56, 811
36.14, 667
38.08, 553
40.36, 1000
45.71, 822
51.96, 394
57.84, 371
58.46, 488

Cell and atoms:
```
VS2
1.0
3.1881 0.0000 0.0000
-1.5941 2.7610 0.0000
0.0000 0.0000 22.8387
V S
2 4
direct
0.0000 0.0000 0.0000 V
0.0000 0.0000 0.5000 V
0.3333 0.6667 0.0644 S
0.3333 0.6667 0.4356 S
0.6667 0.3333 0.5644 S
0.6667 0.3333 0.9356 S
```



Entry 2:
Diffraction record for CePrO4. The XRD peak list is calculated, not measured: it uses DFT lattice parameters and positions (PBE) and a wavelength of 1.5418 Å.
Peak positions follow from Bragg's law for the DFT cell and can differ from measured ones.

Principal peaks in the range 10 to 80 degrees two-theta, sorted by position:
2theta, Rel. int.
27.57, 1000
27.83, 323
32.02, 390
45.74, 371
46.08, 357
54.25, 152
54.40, 300
54.70, 149
66.95, 109
73.61, 122

Cell and atoms:
```
CePrO4
1.0
1.9835 1.1452 6.4103
-1.9835 1.1452 6.4103
0.0000 -2.2903 6.4103
Ce Pr O
1 1 4
direct
0.0000 0.0000 0.0000 Ce
0.5000 0.5000 0.5000 Pr
0.1186 0.1186 0.1186 O
0.3691 0.3691 0.3691 O
0.6309 0.6309 0.6309 O
0.8814 0.8814 0.8814 O
```



Entry 3:
Diffraction record for ZrSn. The XRD peak list is calculated, not measured: it uses DFT lattice parameters and positions (PBE) and a wavelength of 1.5418 Å.
Peak positions follow from Bragg's law for the DFT cell and can differ from measured ones.

Principal peaks in the range 10 to 80 degrees two-theta, sorted by position:
2theta, Rel. int.
31.05, 513
33.02, 211
36.61, 1000
37.94, 439
45.96, 169
58.93, 252
59.87, 116
60.83, 150
69.87, 200
71.45, 139

Cell and atoms:
```
ZrSn
1.0
3.1791 0.0000 0.0000
0.0000 5.7600 0.0000
0.0000 0.0000 5.2045
Zr Sn
2 2
direct
0.2500 0.2500 0.0773 Zr
0.7500 0.7500 0.9227 Zr
0.2500 0.7500 0.4146 Sn
0.7500 0.2500 0.5854 Sn
```